[1]
Calculated powder XRD pattern
Compound: Li2PmPuF8
Radiation: a wavelength of 1.5418 Å
Structure: a GGA-PBE-relaxed structure
Neutral-atom scattering factors, no anomalous dispersion.

Cell and atoms:
```
data_Li2PmPuF8
_space_group_name_H-M_alt 'I -4'
_space_group_IT_number 82
_cell_length_a 5.3388
_cell_length_b 5.3388
_cell_length_c 11.3368
_cell_angle_alpha 90.00
_cell_angle_beta 90.00
_cell_angle_gamma 90.00
loop_
_space_group_symop_operation_xyz
'x,y,z'
'y,-x,-z'
'-x,-y,z'
'-y,x,-z'
'x+1/2,y+1/2,z+1/2'
'y+1/2,-x+1/2,-z+1/2'
'-x+1/2,-y+1/2,z+1/2'
'-y+1/2,x+1/2,-z+1/2'
loop_
_atom_site_label
_atom_site_type_symbol
_atom_site_fract_x
_atom_site_fract_y
_atom_site_fract_z
Li1 Li 0.0000 0.0000 0.0000
Li2 Li 0.0000 0.5000 0.2500
Pm1 Pm 0.0000 0.5000 0.7500
Pu1 Pu 0.0000 0.0000 0.5000
F1 F 0.1602 0.2754 0.9159
F2 F 0.1654 0.7738 0.3313
```

Main lines, by intensity (5° ≤ 2θ ≤ 70°):
(hkl)	2θ (°)	I (rel.)
1 0 1	18.4	100
1 1 2	28.4	72
2 1 1	38.5	35
1 2 3	44.9	26
2 0 4	46.7	25
1 0 3	28.9	25

=====

[2]
Calculated powder XRD pattern
Compound: NaAc3Sn4
Radiation: a wavelength of 1.5418 Å
Structure: a GGA-PBE-relaxed structure
Neutral-atom scattering factors, no anomalous dispersion.

Cell and atoms:
```
data_NaAc3Sn4
_space_group_name_H-M_alt 'I m m m'
_space_group_IT_number 71
_space_group_name_Hall '-I 2 2'
_cell_length_a 4.6092
_cell_length_b 7.1384
_cell_length_c 18.1295
_cell_angle_alpha 90.00
_cell_angle_beta 90.00
_cell_angle_gamma 90.00
loop_
_atom_site_label
_atom_site_type_symbol
_atom_site_fract_x
_atom_site_fract_y
_atom_site_fract_z
Na1 Na 0.0000 0.0000 0.0000
Ac1 Ac 0.0000 0.0000 0.5000
Ac2 Ac 0.0000 0.5000 0.3024
Sn1 Sn 0.0000 0.3011 0.1273
```

Main lines, by intensity (5° ≤ 2θ ≤ 70°):
(hkl)	2θ (°)	I (rel.)
1 1 2	25.0	100
1 0 5	31.4	68
1 2 1	32.1	52
0 1 3	19.2	49
0 2 4	31.9	40
2 0 0	39.1	35

=====

[3]
Calculated powder XRD pattern
Compound: Na2Cu2Se2S
Radiation: a wavelength of 1.5418 Å
Structure: a GGA-PBE-relaxed structure
Neutral-atom scattering factors, no anomalous dispersion.

Cell and atoms:
```
data_Na2Cu2Se2S
_space_group_name_H-M_alt 'P -1'
_space_group_IT_number 2
_cell_length_a 4.0166
_cell_length_b 6.6399
_cell_length_c 6.6458
_cell_angle_alpha 90.87
_cell_angle_beta 107.55
_cell_angle_gamma 107.56
loop_
_space_group_symop_operation_xyz
'x,y,z'
'-x,-y,-z'
loop_
_atom_site_label
_atom_site_type_symbol
_atom_site_fract_x
_atom_site_fract_y
_atom_site_fract_z
Na1 Na 0.2378 0.2389 0.2376
Cu1 Cu 0.4960 0.7731 0.2289
Se1 Se 0.0043 0.3562 0.6435
S1 S 0.5000 0.0000 0.0000
```

Main lines, by intensity (5° ≤ 2θ ≤ 70°):
(hkl)	2θ (°)	I (rel.)
0 1 1	21.1	100
-1 2 1	32.2	67
1 2 -2	45.8	51
0 2 0	28.4	40
1 0 -4	55.7	31
1 -2 1	36.2	29

=====

Repeat the first record exactly.
Calculated powder XRD pattern
Compound: Li2PmPuF8
Radiation: a wavelength of 1.5418 Å
Structure: a GGA-PBE-relaxed structure
Neutral-atom scattering factors, no anomalous dispersion.

Cell and atoms:
```
data_Li2PmPuF8
_space_group_name_H-M_alt 'I -4'
_space_group_IT_number 82
_cell_length_a 5.3388
_cell_length_b 5.3388
_cell_length_c 11.3368
_cell_angle_alpha 90.00
_cell_angle_beta 90.00
_cell_angle_gamma 90.00
loop_
_space_group_symop_operation_xyz
'x,y,z'
'y,-x,-z'
'-x,-y,z'
'-y,x,-z'
'x+1/2,y+1/2,z+1/2'
'y+1/2,-x+1/2,-z+1/2'
'-x+1/2,-y+1/2,z+1/2'
'-y+1/2,x+1/2,-z+1/2'
loop_
_atom_site_label
_atom_site_type_symbol
_atom_site_fract_x
_atom_site_fract_y
_atom_site_fract_z
Li1 Li 0.0000 0.0000 0.0000
Li2 Li 0.0000 0.5000 0.2500
Pm1 Pm 0.0000 0.5000 0.7500
Pu1 Pu 0.0000 0.0000 0.5000
F1 F 0.1602 0.2754 0.9159
F2 F 0.1654 0.7738 0.3313
```

Main lines, by intensity (5° ≤ 2θ ≤ 70°):
(hkl)	2θ (°)	I (rel.)
1 0 1	18.4	100
1 1 2	28.4	72
2 1 1	38.5	35
1 2 3	44.9	26
2 0 4	46.7	25
1 0 3	28.9	25

=====

- What is the formula in the first record?
  Li2PmPuF8